(1)
Hf2Al2Co: simulated powder diffraction line list (Cu Ka), based on a DFT-relaxed cell (PBE, Alexandria).
Neutral-atom scattering factors, no anomalous dispersion.

Most intense lines, 2θ from 5° to 70°, by intensity:
2θ (°), d [Å], I_rel, h k l
24.95, 3.569, 1000, 1 0 3
40.18, 2.244, 750, 1 1 6
43.49, 2.081, 437, 2 0 0
31.59, 2.832, 414, 1 1 2
50.79, 1.798, 295, 2 1 3
30.36, 2.944, 244, 1 0 5
53.95, 1.699, 242, 1 1 10
34.46, 2.603, 201, 0 0 8

Structural model:
abc: 4.162 4.162 20.820
angles: 90.00 90.00 90.00
Space group I4_1/amd (No. 141, origin choice 2)
Asymmetric unit:
Hf 0.000 0.250 0.060 [8 per cell]
Al 0.000 0.250 0.203 [8 per cell]
Co 0.000 0.250 0.375 [4 per cell]

***

(2)
AlCo2Hg: simulated powder diffraction line list (Cu Ka), based on a DFT-relaxed cell (PBE, Alexandria).
Neutral-atom scattering factors, no anomalous dispersion.

Most intense lines, 2θ from 5° to 70°, by intensity:
2θ (°), d [Å], I_rel, h k l
41.92, 2.155, 1000, 1 0 2
33.70, 2.659, 661, 1 0 1
13.90, 6.373, 612, 0 0 1
43.75, 2.069, 479, 1 1 0
62.68, 1.482, 173, 1 1 3
63.60, 1.463, 154, 2 0 0
46.13, 1.968, 143, 1 1 1
42.56, 2.124, 138, 0 0 3

Structural model:
abc: 2.926 2.926 6.373
angles: 90.00 90.00 90.00
Space group P4/mmm (No. 123)
Asymmetric unit:
Al 0.000 0.000 0.000 [1 per cell]
Co 0.500 0.500 0.212 [2 per cell]
Hg 0.000 0.000 0.500 [1 per cell]

***

(3)
Sm3Al3CoHg2: simulated powder diffraction line list (Cu Ka), based on a DFT-relaxed cell (PBE, Alexandria).
Neutral-atom scattering factors, no anomalous dispersion.

Most intense lines, 2θ from 5° to 70°, by intensity:
2θ (°), d [Å], I_rel, h k l
32.13, 2.786, 1000, 1 1 1
35.13, 2.555, 399, 2 0 1
24.09, 3.694, 362, 1 1 0
42.38, 2.133, 328, 3 0 0
13.84, 6.398, 226, 1 0 0
61.66, 1.504, 217, 3 0 2
43.05, 2.101, 199, 2 1 1
42.61, 2.122, 175, 0 0 2

Structural model:
abc: 7.3878 7.3878 4.2437
angles: 90.00 90.00 120.00
Space group P-62m (No. 189)
Asymmetric unit:
Sm 0.0000 0.3841 0.0000 [3 per cell]
Al 0.0000 0.7859 0.5000 [3 per cell]
Co 0.0000 0.0000 0.0000 [1 per cell]
Hg 0.3333 0.6667 0.5000 [2 per cell]

***

(4)
Ho4Al12Co: simulated powder diffraction line list (Cu Ka), based on a DFT-relaxed cell (PBE, Alexandria).
Neutral-atom scattering factors, no anomalous dispersion.

Most intense lines, 2θ from 5° to 70°, by intensity:
2θ (°), d [Å], I_rel, h k l
29.51, 3.027, 1000, 2 2 0
36.35, 2.471, 841, 2 2 2
20.75, 4.280, 704, 2 0 0
42.23, 2.140, 532, 4 0 0
52.36, 1.747, 393, 4 2 2
47.50, 1.914, 355, 4 2 0
61.25, 1.513, 343, 4 4 0
69.44, 1.354, 188, 6 2 0

Structural model:
abc: 8.561 8.561 8.561
angles: 90.00 90.00 90.00
Space group Im-3m (No. 229)
Asymmetric unit:
Ho 0.250 0.250 0.250 [8 per cell]
Al 0.000 0.000 0.278 [12 per cell]
Al 0.000 0.250 0.500 [12 per cell]
Co 0.000 0.000 0.000 [2 per cell]

***

(5)
Ho2Al3Co14: simulated powder diffraction line list (Cu Ka), based on a DFT-relaxed cell (PBE, Alexandria).
Neutral-atom scattering factors, no anomalous dispersion.

Most intense lines, 2θ from 5° to 70°, by intensity:
2θ (°), d [Å], I_rel, h k l
43.61, 2.076, 1000, 3 0 2
43.34, 2.088, 506, 2 2 0
37.30, 2.411, 497, 3 0 0
30.63, 2.919, 362, 1 1 2
41.54, 2.174, 356, 2 0 3
44.39, 2.041, 284, 0 0 4
33.10, 2.706, 191, 2 0 2
47.13, 1.928, 167, 2 1 3

Structural model:
abc: 8.3505 8.3505 8.1628
angles: 90.00 90.00 120.00
Space group P6_3/mmc (No. 194)
Asymmetric unit:
Ho 0.0000 0.0000 0.2500 [2 per cell]
Ho 0.3333 0.6667 0.2500 [2 per cell]
Al 0.0000 0.5000 0.0000 [6 per cell]
Co 0.0449 0.3711 0.7500 [12 per cell]
Co 0.1626 0.3252 0.0155 [12 per cell]
Co 0.3333 0.6667 0.6097 [4 per cell]

***

(6)
Ho2AlCo: simulated powder diffraction line list (Cu Ka), based on a DFT-relaxed cell (PBE, Alexandria).
Neutral-atom scattering factors, no anomalous dispersion.

Most intense lines, 2θ from 5° to 70°, by intensity:
2θ (°), d [Å], I_rel, h k l
36.43, 2.466, 1000, 2 2 0
25.54, 3.488, 401, 2 0 0
65.56, 1.424, 354, 4 2 2
52.47, 1.744, 175, 4 0 0
59.24, 1.560, 165, 4 2 0
45.02, 2.014, 121, 2 2 2
22.07, 4.027, 17, 1 1 1
43.01, 2.103, 9, 3 1 1

Structural model:
abc: 6.975 6.975 6.975
angles: 90.00 90.00 90.00
Space group Fm-3m (No. 225)
Asymmetric unit:
Ho 0.250 0.250 0.250 [8 per cell]
Al 0.000 0.000 0.000 [4 per cell]
Co 0.000 0.000 0.500 [4 per cell]

***

(7)
HoAl12Co4: simulated powder diffraction line list (Cu Ka), based on a DFT-relaxed cell (PBE, Alexandria).
Neutral-atom scattering factors, no anomalous dispersion.

Most intense lines, 2θ from 5° to 70°, by intensity:
2θ (°), d [Å], I_rel, h k l
14.00, 6.324, 1000, 1 1 0
40.34, 2.236, 866, 4 0 0
28.22, 3.162, 788, 2 2 0
24.38, 3.651, 746, 2 1 1
58.36, 1.581, 557, 4 4 0
19.85, 4.472, 427, 2 0 0
31.63, 2.828, 379, 3 1 0
37.63, 2.390, 361, 3 2 1

Structural model:
abc: 8.944 8.944 8.944
angles: 90.00 90.00 90.00
Space group Im-3m (No. 229)
Asymmetric unit:
Ho 0.000 0.000 0.000 [2 per cell]
Al 0.000 0.258 0.258 [24 per cell]
Co 0.250 0.250 0.250 [8 per cell]

***

(8)
AlIn2Co: simulated powder diffraction line list (Cu Ka), based on a DFT-relaxed cell (PBE, Alexandria).
Neutral-atom scattering factors, no anomalous dispersion.

Most intense lines, 2θ from 5° to 70°, by intensity:
2θ (°), d [Å], I_rel, h k l
36.82, 2.441, 1000, 1 1 1
40.58, 2.223, 842, 1 1 -2
21.84, 4.069, 553, 2 0 -1
21.99, 4.042, 547, 2 0 0
29.26, 3.052, 545, 2 0 -2
29.60, 3.018, 534, 2 0 1
41.89, 2.156, 495, 0 0 3
47.73, 1.905, 429, 3 1 -2

Structural model:
abc: 8.541 2.933 6.836
angles: 90.00 108.85 90.00
Space group Cm (No. 8)
Asymmetric unit:
Al 0.000 0.000 0.000 [2 per cell]
In 0.155 0.500 0.663 [2 per cell]
In 0.324 0.500 0.339 [2 per cell]
Co 0.278 0.000 0.002 [2 per cell]

***

(9)
AlInCoRh: simulated powder diffraction line list (Cu Ka), based on a DFT-relaxed cell (PBE, Alexandria).
Neutral-atom scattering factors, no anomalous dispersion.

Most intense lines, 2θ from 5° to 70°, by intensity:
2θ (°), d [Å], I_rel, h k l
41.57, 2.172, 1000, 2 2 0
25.10, 3.548, 262, 1 1 1
60.24, 1.536, 161, 4 0 0
49.18, 1.853, 126, 3 1 1
66.31, 1.410, 51, 3 3 1
29.06, 3.072, 8, 2 0 0

Structural model:
abc: 6.145 6.145 6.145
angles: 90.00 90.00 90.00
Space group F-43m (No. 216)
Asymmetric unit:
Al 0.000 0.000 0.000 [4 per cell]
In 0.000 0.000 0.500 [4 per cell]
Co 0.250 0.250 0.250 [4 per cell]
Rh 0.250 0.250 0.750 [4 per cell]

***

(10)
Al4CoIr2: simulated powder diffraction line list (Cu Ka), based on a DFT-relaxed cell (PBE, Alexandria).
Neutral-atom scattering factors, no anomalous dispersion.

Most intense lines, 2θ from 5° to 70°, by intensity:
2θ (°), d [Å], I_rel, h k l
26.06, 3.419, 1000, 0 1 2
43.09, 2.099, 817, 1 1 0
30.35, 2.945, 766, 1 0 4
43.82, 2.066, 745, 0 1 8
51.37, 1.779, 342, 1 1 6
26.63, 3.348, 330, 0 0 6
63.14, 1.473, 251, 2 0 8
51.05, 1.789, 167, 2 0 2

Structural model:
abc: 4.1988 4.1988 20.0865
angles: 90.00 90.00 120.00
Space group R-3m (No. 166, hexagonal axes)
Asymmetric unit:
Al 0.0000 0.0000 0.1180 [6 per cell]
Al 0.0000 0.0000 0.3719 [6 per cell]
Co 0.0000 0.0000 0.5000 [3 per cell]
Ir 0.0000 0.0000 0.2459 [6 per cell]

***

(11)
AlCoIr2: simulated powder diffraction line list (Cu Ka), based on a DFT-relaxed cell (PBE, Alexandria).
Neutral-atom scattering factors, no anomalous dispersion.

Most intense lines, 2θ from 5° to 70°, by intensity:
2θ (°), d [Å], I_rel, h k l
41.81, 2.161, 1000, 2 2 0
32.08, 2.790, 389, 2 0 0
46.00, 1.973, 380, 2 0 1
26.10, 3.415, 326, 0 2 0
53.67, 1.708, 312, 0 4 0
63.93, 1.456, 115, 2 4 0
67.00, 1.397, 62, 0 0 2
67.19, 1.393, 61, 4 0 0

Structural model:
abc: 5.573 6.829 2.794
angles: 90.00 90.00 90.00
Space group Cmmm (No. 65)
Asymmetric unit:
Al 0.000 0.000 0.000 [2 per cell]
Co 0.000 0.500 0.000 [2 per cell]
Ir 0.250 0.250 0.500 [4 per cell]

***

(12)
AlCoIr: simulated powder diffraction line list (Cu Ka), based on a DFT-relaxed cell (PBE, Alexandria).
Neutral-atom scattering factors, no anomalous dispersion.

Most intense lines, 2θ from 5° to 70°, by intensity:
2θ (°), d [Å], I_rel, h k l
29.73, 3.005, 1000, 1 1 1
42.62, 2.121, 829, 1 3 0
30.29, 2.951, 747, 0 2 1
43.30, 2.090, 743, 1 1 2
41.37, 2.182, 488, 2 0 0
52.12, 1.755, 339, 2 2 1
35.65, 2.519, 225, 0 0 2
56.74, 1.623, 217, 1 3 2

Structural model:
abc: 4.365 7.282 5.037
angles: 90.00 90.00 90.00
Space group Cmcm (No. 63)
Asymmetric unit:
Al 0.000 0.187 0.250 [4 per cell]
Co 0.000 0.500 0.000 [4 per cell]
Ir 0.000 0.150 0.750 [4 per cell]

***

(13)
Al3Co2Ir: simulated powder diffraction line list (Cu Ka), based on a DFT-relaxed cell (PBE, Alexandria).
Neutral-atom scattering factors, no anomalous dispersion.

Most intense lines, 2θ from 5° to 70°, by intensity:
2θ (°), d [Å], I_rel, h k l
44.02, 2.057, 1000, 1 0 3
10.18, 8.686, 722, 0 0 1
43.79, 2.067, 514, 1 1 0
30.58, 2.923, 479, 1 0 0
32.31, 2.771, 245, 1 0 1
30.88, 2.895, 236, 0 0 3
37.07, 2.425, 217, 1 0 2
54.55, 1.682, 188, 1 1 3

Structural model:
abc: 2.923 2.923 8.686
angles: 90.00 90.00 90.00
Space group P4/mmm (No. 123)
Asymmetric unit:
Al 0.000 0.000 0.000 [1 per cell]
Al 0.000 0.000 0.320 [2 per cell]
Co 0.500 0.500 0.161 [2 per cell]
Ir 0.500 0.500 0.500 [1 per cell]